Structure and calculated X-ray diffraction stick pattern of La7Mo7O30 (a cell relaxed with GGA+U; CuKα).
Kinematic intensities with the Lorentz-polarization factor, no thermal factor.

Principal peaks in the range 15° ≤ 2θ ≤ 90°, by angle:
hkl  two_theta  intensity
1 4 0  27.35  100
1 2 2  30.24  66
3 1 2  33.69  17
7 -4 2  45.23  38
2 6 2  51.36  22
3 -1 4  55.39  19

Structural model:
```
data_La7Mo7O30
_cell_length_a 17.2555
_cell_length_b 17.2555
_cell_length_c 6.9374
_cell_angle_alpha 90.00
_cell_angle_beta 90.00
_cell_angle_gamma 120.00
_symmetry_space_group_name_H-M 'R -3'
_symmetry_Int_Tables_number 148
_symmetry_space_group_name_Hall '-R 3'
loop_
_atom_site_label
_atom_site_fract_x
_atom_site_fract_y
_atom_site_fract_z
La1 0.0000 0.0000 0.0000
La2 0.0123 0.2184 0.3272
Mo1 0.0000 0.0000 0.5000
Mo2 0.0099 0.1947 0.8277
O1 0.0398 0.9299 0.3009
O2 0.0423 0.4236 0.6622
O3 0.0519 0.5948 0.9728
O4 0.0562 0.8836 0.9539
O5 0.0948 0.2375 0.6320
```